(1)
For MnCuSe2, a crystal structure in Alexandria, relaxed with PBE gives the simulated XRD peak list in this record (CuKα).
Neutral-atom scattering factors, no anomalous dispersion.

Cell and atoms:
Lattice parameters (Å, degrees): 6.600 3.675 7.170 90.00 111.24 90.00
Fractional positions:
Mn  0.110  0.250  0.104
Mn  0.890  0.750  0.896
Cu  0.350  0.750  0.004
Cu  0.650  0.250  0.996
Se  0.009  0.250  0.753
Se  0.484  0.250  0.255
Se  0.516  0.750  0.745
Se  0.991  0.750  0.247

The 10 most intense peaks (5° ≤ 2θ ≤ 70°), sorted by position:
| 2θ (°) | intensity |
| --- | --- |
| 13.2 | 100 |
| 29.0 | 51 |
| 31.6 | 15 |
| 33.6 | 41 |
| 35.3 | 15 |
| 45.3 | 50 |
| 46.8 | 16 |
| 48.3 | 26 |
| 49.6 | 21 |
| 54.7 | 17 |

---

(2)
For Tb9Nd11Dy4, a crystal structure in Alexandria, relaxed with PBE gives the simulated XRD peak list in this record (CuKα).
Neutral-atom scattering factors, no anomalous dispersion.

Cell and atoms:
Lattice parameters (Å, degrees): 15.478 15.478 3.674 90.00 90.00 113.09
Fractional positions:
Tb  0.000  0.000  0.000
Tb  0.131  0.665  0.000
Tb  0.286  0.432  0.000
Tb  0.335  0.869  0.000
Tb  0.432  0.286  0.000
Tb  0.568  0.714  0.000
Tb  0.665  0.131  0.000
Tb  0.714  0.568  0.000
Tb  0.869  0.335  0.000
Nd  0.095  0.457  0.500
Nd  0.132  0.868  0.500
Nd  0.208  0.208  0.500
Nd  0.340  0.660  0.500
Nd  0.457  0.095  0.500
Nd  0.500  0.500  0.500
Nd  0.543  0.905  0.500
Nd  0.660  0.340  0.500
Nd  0.792  0.792  0.500
Nd  0.868  0.132  0.500
Nd  0.905  0.543  0.500
Dy  0.055  0.259  0.000
Dy  0.259  0.055  0.000
Dy  0.741  0.945  0.000
Dy  0.945  0.741  0.000

The 10 most intense peaks (5° ≤ 2θ ≤ 70°), sorted by position:
| 2θ (°) | intensity |
| --- | --- |
| 29.5 | 87 |
| 29.9 | 30 |
| 30.8 | 31 |
| 31.4 | 16 |
| 31.6 | 26 |
| 32.0 | 83 |
| 32.2 | 100 |
| 33.8 | 15 |
| 49.6 | 22 |
| 58.8 | 28 |

---

(3)
For UMo2C2, a crystal structure in Alexandria, relaxed with PBE gives the simulated XRD peak list in this record (CuKα).
Neutral-atom scattering factors, no anomalous dispersion.

Cell and atoms:
Lattice parameters (Å, degrees): 6.269 5.767 5.675 66.44 57.49 56.07
Fractional positions:
U  0.125  0.125  0.125
U  0.875  0.875  0.875
Mo  0.227  0.227  0.523
Mo  0.477  0.477  0.773
Mo  0.523  0.523  0.227
Mo  0.773  0.773  0.477
C  0.169  0.581  0.169
C  0.419  0.831  0.419
C  0.581  0.169  0.581
C  0.831  0.419  0.831

The 10 most intense peaks (5° ≤ 2θ ≤ 70°), sorted by position:
| 2θ (°) | intensity |
| --- | --- |
| 18.7 | 21 |
| 28.5 | 19 |
| 31.8 | 23 |
| 32.1 | 100 |
| 34.0 | 86 |
| 41.3 | 29 |
| 45.2 | 43 |
| 49.6 | 30 |
| 50.5 | 17 |
| 58.5 | 20 |

---

(4)
For La3Pu2As2N4, a crystal structure in Alexandria, relaxed with PBE gives the simulated XRD peak list in this record (CuKα).
Neutral-atom scattering factors, no anomalous dispersion.

Cell and atoms:
Lattice parameters (Å, degrees): 12.189 12.189 12.189 159.56 159.56 29.07
Fractional positions:
La  0.000  0.000  0.000
La  0.173  0.173  0.000
La  0.827  0.827  0.000
Pu  0.419  0.419  0.000
Pu  0.581  0.581  0.000
As  0.301  0.301  0.000
As  0.699  0.699  0.000
N  0.070  0.570  0.500
N  0.430  0.930  0.500
N  0.570  0.070  0.500
N  0.930  0.430  0.500

The 10 most intense peaks (5° ≤ 2θ ≤ 70°), sorted by position:
| 2θ (°) | intensity |
| --- | --- |
| 7.5 | 20 |
| 20.9 | 17 |
| 28.0 | 71 |
| 29.2 | 100 |
| 33.7 | 81 |
| 41.8 | 47 |
| 51.0 | 28 |
| 54.7 | 42 |
| 55.6 | 17 |
| 68.6 | 19 |

---

(5)
For CoPt3, a crystal structure in Alexandria, relaxed with PBE gives the simulated XRD peak list in this record (CuKα).
Neutral-atom scattering factors, no anomalous dispersion.

Cell and atoms:
Lattice parameters (Å, degrees): 2.748 4.529 4.757 90.00 90.00 90.00
Fractional positions:
Co  0.000  0.000  0.000
Pt  0.000  0.500  0.324
Pt  0.500  0.000  0.500
Pt  0.500  0.500  0.833

The 10 most intense peaks (5° ≤ 2θ ≤ 70°), sorted by position:
| 2θ (°) | intensity |
| --- | --- |
| 18.7 | 6 |
| 19.6 | 6 |
| 27.2 | 7 |
| 32.6 | 2 |
| 37.8 | 26 |
| 38.3 | 2 |
| 39.8 | 27 |
| 42.9 | 100 |
| 56.1 | 17 |
| 68.3 | 17 |

---

(6)
For ErAl5, a crystal structure in Alexandria, relaxed with PBE gives the simulated XRD peak list in this record (CuKα).
Neutral-atom scattering factors, no anomalous dispersion.

Cell and atoms:
Lattice parameters (Å, degrees): 4.375 6.020 8.571 90.00 90.00 90.00
Fractional positions:
Er  0.000  0.000  0.000
Er  0.500  0.500  0.500
Al  0.000  0.234  0.337
Al  0.000  0.234  0.663
Al  0.000  0.500  0.000
Al  0.000  0.766  0.337
Al  0.000  0.766  0.663
Al  0.500  0.000  0.500
Al  0.500  0.266  0.163
Al  0.500  0.266  0.837
Al  0.500  0.734  0.163
Al  0.500  0.734  0.837

The 10 most intense peaks (5° ≤ 2θ ≤ 70°), sorted by position:
| 2θ (°) | intensity |
| --- | --- |
| 18.0 | 88 |
| 20.7 | 37 |
| 22.8 | 55 |
| 25.2 | 52 |
| 32.8 | 42 |
| 36.5 | 53 |
| 37.6 | 75 |
| 37.8 | 100 |
| 41.3 | 29 |
| 56.2 | 30 |